1.
The following is a simulated powder X-ray diffraction pattern of CsLiPu2O8. It was derived from DFT lattice parameters and positions (GGA-PBE), using Cu Kα X-rays.
Peak positions follow from Bragg's law for the DFT cell and can differ from measured ones.

Main lines, sorted by position (15° ≤ 2θ ≤ 90°):
21.92°, I = 100, (0 1 1)
25.90°, I = 16, (0 0 2)
30.86°, I = 53, (1 1 0)
31.53°, I = 17, (0 1 2)
33.56°, I = 17, (2 -1 1)
38.18°, I = 26, (2 0 1)
40.71°, I = 30, (2 -1 2)
43.38°, I = 22, (0 1 3)
49.87°, I = 23, (3 -2 1)
56.58°, I = 18, (1 0 4)

Structure:
```
data_CsLiPu2O8
_chemical_formula_sum 'Cs1 Li1 Pu2 O8'
_symmetry_space_group_name_H-M 'P -3'
_symmetry_Int_Tables_number 147
_symmetry_space_group_name_Hall '-P 3'
_cell_length_a 5.7951
_cell_length_b 5.7951
_cell_length_c 6.8799
_cell_angle_alpha 90.00
_cell_angle_beta 90.00
_cell_angle_gamma 120.00
loop_
_atom_site_label
_atom_site_fract_x
_atom_site_fract_y
_atom_site_fract_z
Cs1 0.0000 0.0000 0.0000
Li1 0.0000 0.0000 0.5000
Pu1 0.3333 0.6667 0.4381
O1 0.0582 0.3740 0.6234
O2 0.3333 0.6667 0.1674
```

2.
The following is a simulated powder X-ray diffraction pattern of CsRb2LiO2. It was derived from DFT lattice parameters and positions (GGA-PBE), using Cu Kα X-rays.
Peak positions follow from Bragg's law for the DFT cell and can differ from measured ones.

Main lines, sorted by position (15° ≤ 2θ ≤ 90°):
18.67°, I = 31, (1 1 0)
20.14°, I = 18, (0 1 1)
26.64°, I = 24, (1 1 1)
27.56°, I = 16, (1 3 0)
28.58°, I = 56, (0 4 0)
29.43°, I = 100, (1 2 1)
33.60°, I = 24, (1 3 1)
35.68°, I = 18, (2 1 0)
38.20°, I = 23, (0 0 2)
51.13°, I = 21, (1 6 1)

Structure:
```
data_CsRb2LiO2
_chemical_formula_sum 'Cs2 Rb4 Li2 O4'
_symmetry_space_group_name_H-M 'P n n m'
_symmetry_Int_Tables_number 58
_symmetry_space_group_name_Hall '-P 2 2n'
_cell_length_a 5.138
_cell_length_b 12.499
_cell_length_c 4.712
_cell_angle_alpha 90.00
_cell_angle_beta 90.00
_cell_angle_gamma 90.00
loop_
_atom_site_label
_atom_site_fract_x
_atom_site_fract_y
_atom_site_fract_z
Cs1 0.000 0.000 0.000
Rb1 0.133 0.245 0.500
Li1 0.000 0.500 0.000
O1 0.158 0.372 0.000
```

3.
The following is a simulated powder X-ray diffraction pattern of CsLiSO4. It was derived from DFT lattice parameters and positions (GGA-PBE), using Cu Kα X-rays.
Peak positions follow from Bragg's law for the DFT cell and can differ from measured ones.

Main lines, sorted by position (15° ≤ 2θ ≤ 90°):
18.67°, I = 35, (1 0 -2)
21.06°, I = 14, (1 1 0)
26.60°, I = 12, (1 1 1)
26.72°, I = 10, (1 1 -3)
27.06°, I = 100, (1 2 -2)
32.58°, I = 23, (2 0 -2)
32.73°, I = 10, (1 0 -4)
38.20°, I = 16, (2 2 -2)
39.41°, I = 11, (0 4 0)
43.94°, I = 13, (1 4 -2)

Structure:
```
data_CsLiSO4
_chemical_formula_sum 'Cs4 Li4 S4 O16'
_symmetry_space_group_name_H-M 'P 1 21/c 1'
_symmetry_Int_Tables_number 14
_symmetry_space_group_name_Hall '-P 2ybc'
_cell_length_a 5.497
_cell_length_b 9.146
_cell_length_c 10.943
_cell_angle_alpha 90.00
_cell_angle_beta 119.85
_cell_angle_gamma 90.00
loop_
_atom_site_label
_atom_site_fract_x
_atom_site_fract_y
_atom_site_fract_z
Cs1 0.043 0.000 0.285
Li1 0.339 0.175 0.086
S1 0.330 0.700 0.583
O1 0.041 0.744 0.473
O2 0.348 0.538 0.597
O3 0.395 0.735 0.221
O4 0.464 0.246 0.458
```

4.
The following is a simulated powder X-ray diffraction pattern of CsLiSnO3. It was derived from DFT lattice parameters and positions (GGA-PBE), using Cu Kα X-rays.
Peak positions follow from Bragg's law for the DFT cell and can differ from measured ones.

Main lines, sorted by position (15° ≤ 2θ ≤ 90°):
22.06°, I = 37, (1 0 -2)
23.96°, I = 42, (0 0 2)
24.91°, I = 66, (2 0 0)
26.71°, I = 63, (2 0 -2)
28.87°, I = 95, (0 1 1)
35.02°, I = 100, (2 1 -1)
36.47°, I = 23, (2 1 0)
42.74°, I = 22, (1 1 -3)
43.24°, I = 22, (1 0 3)
60.46°, I = 21, (3 1 2)

Structure:
```
data_CsLiSnO3
_chemical_formula_sum 'Cs2 Li2 Sn2 O6'
_symmetry_space_group_name_H-M 'P 1 21/m 1'
_symmetry_Int_Tables_number 11
_symmetry_space_group_name_Hall '-P 2yb'
_cell_length_a 7.820
_cell_length_b 3.401
_cell_length_c 8.123
_cell_angle_alpha 90.00
_cell_angle_beta 113.88
_cell_angle_gamma 90.00
loop_
_atom_site_label
_atom_site_fract_x
_atom_site_fract_y
_atom_site_fract_z
Cs1 0.229 0.250 0.270
Li1 0.076 0.250 0.597
Sn1 0.320 0.750 0.852
O1 0.157 0.250 0.864
O2 0.185 0.750 0.580
O3 0.486 0.750 0.133
```

5.
The following is a simulated powder X-ray diffraction pattern of Cs2Li14Tb3O14. It was derived from DFT lattice parameters and positions (GGA-PBE), using Cu Kα X-rays.
Peak positions follow from Bragg's law for the DFT cell and can differ from measured ones.

Main lines, sorted by position (15° ≤ 2θ ≤ 90°):
15.99°, I = 100, (1 1 0)
21.63°, I = 66, (0 2 0)
26.83°, I = 34, (0 0 4)
26.97°, I = 37, (2 1 1)
27.29°, I = 23, (2 0 2)
31.39°, I = 23, (1 1 4)
33.13°, I = 47, (2 1 3)
34.72°, I = 67, (0 2 4)
37.58°, I = 28, (3 1 0)
55.35°, I = 24, (0 0 8)

Structure:
```
data_Cs2Li14Tb3O14
_chemical_formula_sum 'Cs4 Li28 Tb6 O28'
_symmetry_space_group_name_H-M 'I m m m'
_symmetry_Int_Tables_number 71
_symmetry_space_group_name_Hall '-I 2 2'
_cell_length_a 7.506
_cell_length_b 8.218
_cell_length_c 13.290
_cell_angle_alpha 90.00
_cell_angle_beta 90.00
_cell_angle_gamma 90.00
loop_
_atom_site_label
_atom_site_fract_x
_atom_site_fract_y
_atom_site_fract_z
Cs1 0.234 0.000 0.000
Li1 0.000 0.147 0.232
Li2 0.000 0.154 0.500
Li3 0.226 0.154 0.367
Tb1 0.000 0.500 0.000
Tb2 0.000 0.500 0.268
O1 0.000 0.278 0.370
O2 0.000 0.317 0.131
O3 0.202 0.000 0.254
O4 0.202 0.000 0.500
```

6.
The following is a simulated powder X-ray diffraction pattern of Cs2Li4UO6. It was derived from DFT lattice parameters and positions (GGA-PBE), using Cu Kα X-rays.
Peak positions follow from Bragg's law for the DFT cell and can differ from measured ones.

Main lines, sorted by position (15° ≤ 2θ ≤ 90°):
16.38°, I = 11, (1 0 0)
22.36°, I = 100, (0 1 1)
28.57°, I = 46, (1 1 0)
34.82°, I = 13, (1 0 2)
36.58°, I = 34, (2 0 1)
42.29°, I = 29, (1 1 2)
47.05°, I = 28, (1 2 1)
49.63°, I = 11, (0 1 3)
64.03°, I = 12, (3 1 1)
66.13°, I = 14, (1 2 3)

Structure:
```
data_Cs2Li4UO6
_chemical_formula_sum 'Cs2 Li4 U1 O6'
_symmetry_space_group_name_H-M 'P -3 m 1'
_symmetry_Int_Tables_number 164
_symmetry_space_group_name_Hall '-P 3 2"'
_cell_length_a 6.2494
_cell_length_b 6.2494
_cell_length_c 5.8588
_cell_angle_alpha 90.00
_cell_angle_beta 90.00
_cell_angle_gamma 120.00
loop_
_atom_site_label
_atom_site_fract_x
_atom_site_fract_y
_atom_site_fract_z
Cs1 0.3333 0.6667 0.4331
Li1 0.0000 0.0000 0.5000
Li2 0.0000 0.5000 0.0000
U1 0.0000 0.0000 0.0000
O1 0.1613 0.3226 0.8028
```